No. 1
This entry pairs a crystal structure of Li9Mn2Co5O16 with its simulated X-ray diffraction stick pattern. Radiation: CuKα. Structure: a cell relaxed with PBE+U.
Kinematic intensities with the Lorentz-polarization factor, no thermal factor.

Atomic structure:
Cell lengths 3.0047, 9.7997, 10.0969 Å; angles 77.39, 88.67, 87.12 degrees
Space group P-1 (No. 2)
Symmetry-distinct sites (fractional):
Li1 0.0000 0.0000 0.0000 x1
Li2 0.0000 0.0000 0.5000 x1
Li3 0.9996 0.4983 0.2442 x2
Li4 0.4966 0.7509 0.1215 x2
Li5 0.4983 0.7491 0.6269 x2
Li6 0.5000 0.5000 0.0000 x1
Mn1 0.4956 0.0030 0.2485 x2
Co1 0.0029 0.2515 0.6263 x2
Co2 0.0074 0.2620 0.1197 x2
Co3 0.5000 0.5000 0.5000 x1
O1 0.0033 0.6392 0.0450 x2
O2 0.0052 0.3774 0.4478 x2
O3 0.0258 0.1328 0.2967 x2
O4 0.0361 0.1252 0.8038 x2
O5 0.4703 0.6338 0.8177 x2
O6 0.4769 0.1278 0.0719 x2
O7 0.4917 0.8753 0.4277 x2
O8 0.4942 0.3739 0.6802 x2

Largest 12 diffraction maxima, low angle first, 2θ from 15° to 90°:
| two_theta | intensity | (hkl) |
| --- | --- | --- |
| 18.4 | 100 | 0 1 2 |
| 34.6 | 19 | 1 2 0 |
| 36.1 | 13 | 1 -2 0 |
| 36.8 | 12 | 0 3 -2 |
| 37.2 | 8 | 0 2 4 |
| 41.6 | 34 | 1 3 2 |
| 43.8 | 28 | -1 3 2 |
| 44.9 | 25 | 0 2 -4 |
| 61.8 | 9 | 2 0 0 |
| 62.2 | 8 | 0 6 4 |
| 62.8 | 8 | 1 1 6 |
| 65.1 | 9 | 1 -5 2 |

---

No. 2
This entry pairs a crystal structure of Li9Mn2Co5O16 with its simulated X-ray diffraction stick pattern. Radiation: CuKα. Structure: a cell relaxed with PBE+U.
Kinematic intensities with the Lorentz-polarization factor, no thermal factor.

Atomic structure:
Cell lengths 5.8852, 2.8891, 17.0237 Å; angles 90.00, 90.31, 90.00 degrees
Space group Pm (No. 6)
Symmetry-distinct sites (fractional):
Li1 0.0000 0.0000 0.0000 x1
Li2 0.0013 0.0000 0.2416 x1
Li3 0.0020 0.0000 0.4858 x1
Li4 0.2459 0.5000 0.6144 x1
Li5 0.2473 0.5000 0.1281 x1
Li6 0.5017 0.0000 0.2380 x1
Li7 0.5074 0.0000 0.7405 x1
Li8 0.7546 0.5000 0.8701 x1
Li9 0.7562 0.5000 0.3572 x1
Mn1 0.2516 0.5000 0.8683 x1
Mn2 0.4972 0.0000 0.4896 x1
Co1 0.2391 0.5000 0.3524 x1
Co2 0.5138 0.0000 0.9977 x1
Co3 0.7563 0.5000 0.6153 x1
Co4 0.7633 0.5000 0.1323 x1
Co5 0.9968 0.0000 0.7403 x1
O1 0.0212 0.0000 0.3688 x1
O2 0.0297 0.0000 0.8688 x1
O3 0.2322 0.5000 0.7508 x1
O4 0.2568 0.5000 0.2483 x1
O5 0.2688 0.5000 0.9815 x1
O6 0.2768 0.5000 0.4942 x1
O7 0.4742 0.0000 0.8657 x1
O8 0.4778 0.0000 0.3772 x1
O9 0.5179 0.0000 0.1133 x1
O10 0.5204 0.0000 0.6080 x1
O11 0.7216 0.5000 0.4888 x1
O12 0.7297 0.5000 0.9894 x1
O13 0.7485 0.5000 0.2369 x1
O14 0.7665 0.5000 0.7413 x1
O15 0.9849 0.0000 0.1165 x1
O16 0.9863 0.0000 0.6165 x1

Largest 12 diffraction maxima, low angle first, 2θ from 15° to 90°:
| two_theta | intensity | (hkl) |
| --- | --- | --- |
| 18.3 | 100 | 1 0 -2 |
| 35.2 | 13 | 1 0 6 |
| 36.2 | 25 | 1 1 2 |
| 37.6 | 7 | 0 1 4 |
| 42.5 | 26 | 0 0 8 |
| 43.9 | 54 | 2 1 0 |
| 47.4 | 9 | 1 1 -6 |
| 57.8 | 10 | 3 1 -2 |
| 62.6 | 14 | 2 1 -8 |
| 62.9 | 13 | 2 1 8 |
| 63.2 | 7 | 4 0 0 |
| 64.5 | 7 | 0 2 0 |

---

No. 3
This entry pairs a crystal structure of MgV3CoO8 with its simulated X-ray diffraction stick pattern. Radiation: CuKα. Structure: a cell relaxed with PBE+U.
Kinematic intensities with the Lorentz-polarization factor, no thermal factor.

Atomic structure:
Cell lengths 5.4786, 5.6098, 6.7786 Å; angles 89.87, 88.22, 87.42 degrees
Space group P1 (No. 1)
Symmetry-distinct sites (fractional):
Mg1 0.0000 0.0000 0.0000 x1
V1 0.2807 0.5275 0.0346 x1
V2 0.4633 0.0350 0.7351 x1
V3 0.8037 0.4796 0.3058 x1
Co1 0.9785 0.9692 0.5035 x1
O1 0.2640 0.2600 0.8923 x1
O2 0.3102 0.8061 0.8913 x1
O3 0.3288 0.0231 0.5103 x1
O4 0.4782 0.5275 0.2339 x1
O5 0.7886 0.0527 0.7616 x1
O6 0.8710 0.6400 0.5112 x1
O7 0.9069 0.1675 0.2623 x1
O8 0.9652 0.6525 0.1068 x1

Largest 12 diffraction maxima, low angle first, 2θ from 15° to 90°:
| two_theta | intensity | (hkl) |
| --- | --- | --- |
| 16.2 | 8 | 1 0 0 |
| 20.6 | 100 | 0 1 -1 |
| 21.2 | 13 | 1 0 -1 |
| 26.1 | 12 | 1 1 -1 |
| 27.0 | 10 | -1 1 1 |
| 30.6 | 8 | 1 0 2 |
| 31.5 | 12 | 1 0 -2 |
| 31.9 | 21 | 0 2 0 |
| 32.7 | 11 | 2 0 0 |
| 34.3 | 10 | 1 1 2 |
| 35.0 | 10 | 1 -1 2 |
| 37.2 | 8 | 2 -1 0 |

---

No. 4
This entry pairs a crystal structure of Li5CoNi9O20 with its simulated X-ray diffraction stick pattern. Radiation: CuKα. Structure: a cell relaxed with PBE+U.
Kinematic intensities with the Lorentz-polarization factor, no thermal factor.

Atomic structure:
Cell lengths 2.8622, 11.3345, 11.7469 Å; angles 64.62, 89.15, 82.82 degrees
Space group P1 (No. 1)
Symmetry-distinct sites (fractional):
Li1 0.0000 0.0000 0.0000 x1
Li2 0.0073 0.9864 0.5158 x1
Li3 0.6004 0.7765 0.2280 x1
Li4 0.7756 0.3898 0.1127 x1
Li5 0.8177 0.3904 0.6114 x1
Co1 0.1846 0.5906 0.1616 x1
Ni1 0.0053 0.9884 0.7620 x1
Ni2 0.2321 0.5926 0.6656 x1
Ni3 0.3646 0.1880 0.0632 x1
Ni4 0.4029 0.1880 0.5634 x1
Ni5 0.6093 0.7869 0.9622 x1
Ni6 0.6263 0.7858 0.4633 x1
Ni7 0.7969 0.3896 0.3633 x1
Ni8 0.8013 0.3901 0.8635 x1
Ni9 0.9899 0.9906 0.2638 x1
O1 0.0988 0.8021 0.3419 x1
O2 0.1057 0.7760 0.0818 x1
O3 0.1100 0.8011 0.8506 x1
O4 0.1439 0.7776 0.5764 x1
O5 0.2529 0.4087 0.2384 x1
O6 0.2617 0.3711 0.9880 x1
O7 0.3385 0.3727 0.4863 x1
O8 0.3431 0.4092 0.7402 x1
O9 0.4394 0.0017 0.1401 x1
O10 0.4637 0.0047 0.6393 x1
O11 0.5435 0.9707 0.3879 x1
O12 0.5511 0.9704 0.8871 x1
O13 0.6787 0.5836 0.2695 x1
O14 0.6871 0.5996 0.0520 x1
O15 0.7324 0.5993 0.5565 x1
O16 0.7332 0.5800 0.7745 x1
O17 0.8634 0.1806 0.1715 x1
O18 0.8667 0.1971 0.9548 x1
O19 0.9009 0.1796 0.6720 x1
O20 0.9073 0.1954 0.4557 x1

Largest 12 diffraction maxima, low angle first, 2θ from 15° to 90°:
| two_theta | intensity | (hkl) |
| --- | --- | --- |
| 18.3 | 100 | 0 2 2 |
| 36.6 | 12 | 1 0 2 |
| 37.0 | 5 | 0 4 4 |
| 37.2 | 21 | 1 1 -2 |
| 38.6 | 7 | 0 1 -4 |
| 43.9 | 17 | 1 2 4 |
| 44.6 | 33 | 0 5 0 |
| 48.3 | 10 | 0 1 6 |
| 57.4 | 5 | 1 4 6 |
| 58.2 | 10 | 0 7 2 |
| 63.4 | 5 | 0 3 8 |
| 65.2 | 9 | 1 -3 4 |